# K4Np3Te8Pt
Simulated powder X-ray diffraction pattern, λ = 1.5418 Å (Cu Kα). Input: a cell relaxed with GGA-PBE.
No peak broadening, texture or thermal motion is included.

Structural model:
```
data_K4Np3Te8Pt
_cell_length_a 9.117
_cell_length_b 9.117
_cell_length_c 9.688
_cell_angle_alpha 117.43
_cell_angle_beta 117.43
_cell_angle_gamma 57.53
_symmetry_space_group_name_H-M 'P 1'
_symmetry_Int_Tables_number 1
loop_
_symmetry_equiv_pos_as_xyz
'x,y,z'
loop_
_atom_site_label
_atom_site_fract_x
_atom_site_fract_y
_atom_site_fract_z
_atom_site_occupancy
K1 0.000 0.000 0.000 1
K2 0.000 0.500 0.000 1
K3 0.500 0.000 0.000 1
K4 0.500 0.500 0.000 1
Np1 0.000 0.000 0.500 1
Np2 0.000 0.500 0.500 1
Np3 0.500 0.000 0.500 1
Te1 0.232 0.232 0.711 1
Te2 0.239 0.239 0.272 1
Te3 0.264 0.702 0.682 1
Te4 0.298 0.736 0.318 1
Te5 0.702 0.264 0.682 1
Te6 0.736 0.298 0.318 1
Te7 0.761 0.761 0.728 1
Te8 0.768 0.768 0.289 1
Pt1 0.500 0.500 0.500 1
```

Most intense lines, 2θ from 5° to 70°, in order of rising 2θ:
d [Å]  I/Imax
8.243  100
3.959  13
3.400  51
3.245  83
2.584  24
2.426  31
2.411  13
2.276  33
2.193  15
2.180  12
1.953  12
1.843  16